This entry pairs a crystal structure of La2Al9Ir3 with its calculated powder X-ray diffraction pattern. Radiation: copper Kα. Structure: a cell relaxed with PBE.

The 12 most intense peaks (10° ≤ 2θ ≤ 90°), in order of rising 2θ:
2theta  Rel. int.
18.34  23
23.00  18
23.24  37
29.57  51
29.77  100
36.43  23
37.17  33
40.55  58
40.99  28
44.30  20
51.35  27
56.17  31

Unit cell a=7.655 b=7.655 c=9.675 alpha=90.00 beta=90.00 gamma=60.69
Fractional positions:
La1 0.004 0.670 0.750
La2 0.330 0.996 0.750
La3 0.670 0.004 0.250
La4 0.996 0.330 0.250
Al1 0.005 0.665 0.072
Al2 0.005 0.665 0.428
Al3 0.131 0.869 0.250
Al4 0.335 0.665 0.547
Al5 0.335 0.665 0.953
Al6 0.335 0.995 0.072
Al7 0.335 0.995 0.428
Al8 0.338 0.456 0.250
Al9 0.456 0.338 0.750
Al10 0.544 0.662 0.250
Al11 0.662 0.544 0.750
Al12 0.665 0.005 0.572
Al13 0.665 0.005 0.928
Al14 0.665 0.335 0.047
Al15 0.665 0.335 0.453
Al16 0.869 0.131 0.750
Al17 0.995 0.335 0.572
Al18 0.995 0.335 0.928
Ir1 0.000 0.000 0.000
Ir2 0.000 0.000 0.500
Ir3 0.329 0.329 0.000
Ir4 0.329 0.329 0.500
Ir5 0.671 0.671 0.000
Ir6 0.671 0.671 0.500

***

This entry pairs a crystal structure of Rb2TaAgCl6 with its calculated powder X-ray diffraction pattern. Radiation: copper Kα. Structure: a cell relaxed with PBE.

The 12 most intense peaks (10° ≤ 2θ ≤ 90°), in order of rising 2θ:
2theta  Rel. int.
14.67  9
16.96  28
24.07  100
34.31  60
38.50  13
42.35  45
49.30  40
55.59  21
61.44  13
66.97  24
77.45  12
82.52  17

Unit cell a=7.394 b=7.394 c=7.394 alpha=60.00 beta=60.00 gamma=60.00
Fractional positions:
Rb1 0.250 0.250 0.250
Rb2 0.750 0.750 0.750
Ta1 0.000 0.000 0.000
Ag1 0.500 0.500 0.500
Cl1 0.238 0.238 0.762
Cl2 0.238 0.762 0.238
Cl3 0.238 0.762 0.762
Cl4 0.762 0.238 0.238
Cl5 0.762 0.238 0.762
Cl6 0.762 0.762 0.238

***

This entry pairs a crystal structure of IrC with its calculated powder X-ray diffraction pattern. Radiation: copper Kα. Structure: a cell relaxed with PBE.

The 6 most intense peaks (10° ≤ 2θ ≤ 90°), in order of rising 2θ:
2theta  Rel. int.
33.49  100
38.86  45
56.13  38
66.96  41
70.37  11
83.41  6

Unit cell a=4.635 b=4.635 c=4.635 alpha=90.00 beta=90.00 gamma=90.00
Fractional positions:
Ir1 0.000 0.000 0.000
Ir2 0.000 0.500 0.500
Ir3 0.500 0.000 0.500
Ir4 0.500 0.500 0.000
C1 0.250 0.250 0.750
C2 0.250 0.750 0.250
C3 0.750 0.250 0.250
C4 0.750 0.750 0.750

***

This entry pairs a crystal structure of NdNi4B with its calculated powder X-ray diffraction pattern. Radiation: copper Kα. Structure: a cell relaxed with PBE.

The 12 most intense peaks (10° ≤ 2θ ≤ 90°), in order of rising 2θ:
2theta  Rel. int.
32.95  86
35.61  28
39.05  13
40.94  11
41.35  78
44.40  100
52.71  12
62.28  24
65.24  15
69.12  12
70.10  22
75.41  20

Unit cell a=13.784 b=13.784 c=13.784 alpha=158.92 beta=150.81 gamma=36.28
Fractional positions:
Nd1 0.086 0.336 0.750
Nd2 0.260 0.010 0.250
Nd3 0.419 0.669 0.750
Nd4 0.581 0.331 0.250
Nd5 0.740 0.990 0.750
Nd6 0.914 0.664 0.250
Ni1 0.000 0.500 0.500
Ni2 0.027 0.332 0.198
Ni3 0.027 0.829 0.695
Ni4 0.122 0.167 0.955
Ni5 0.207 0.000 0.707
Ni6 0.207 0.500 0.207
Ni7 0.288 0.833 0.455
Ni8 0.313 0.563 0.750
Ni9 0.363 0.113 0.250
Ni10 0.366 0.171 0.698
Ni11 0.366 0.668 0.195
Ni12 0.473 0.223 0.250
Ni13 0.500 0.500 0.000
Ni14 0.527 0.777 0.750
Ni15 0.634 0.332 0.805
Ni16 0.634 0.829 0.302
Ni17 0.637 0.887 0.750
Ni18 0.687 0.437 0.250
Ni19 0.712 0.167 0.545
Ni20 0.793 0.000 0.293
Ni21 0.793 0.500 0.793
Ni22 0.878 0.833 0.045
Ni23 0.973 0.171 0.305
Ni24 0.973 0.668 0.802
B1 0.029 0.779 0.250
B2 0.141 0.891 0.250
B3 0.204 0.454 0.750
B4 0.796 0.546 0.250
B5 0.859 0.109 0.750
B6 0.971 0.221 0.750